Theoretical powder diffractogram of K2Hg for λ = 1.5418 Å (Cu Kα), from a DFT-relaxed cell (PBE, Alexandria).
No peak broadening, texture or thermal motion is included.

Structural model:
Cell lengths 9.234, 5.438, 11.091 Å; angles 90.00, 90.00, 90.00 degrees
Space group Pnma (No. 62)
Asymmetric unit:
K 0.029 0.250 0.170 [4 per cell]
K 0.147 0.250 0.568 [4 per cell]
Hg 0.244 0.750 0.374 [4 per cell]

Top 8 peaks for 2θ from 10° to 80°, low angle first:
| 2θ/deg | intensity | index |
| --- | --- | --- |
| 18.17 | 54.7 | 0 1 1 |
| 18.66 | 97.1 | 1 0 2 |
| 19.22 | 47.6 | 2 0 0 |
| 20.58 | 71.2 | 1 1 1 |
| 26.57 | 100.0 | 2 1 1 |
| 29.21 | 40.2 | 0 1 3 |
| 30.81 | 54.0 | 1 1 3 |
| 33.29 | 44.7 | 3 0 2 |

Theoretical powder diffractogram of Pm3Al3Cu2 for λ = 1.5418 Å (Cu Kα), from a DFT-relaxed cell (PBE, Alexandria).
No peak broadening, texture or thermal motion is included.

Structural model:
Cell lengths 8.285, 15.171, 5.626 Å; angles 90.00, 90.00, 90.00 degrees
Space group Pnma (No. 62)
Asymmetric unit:
Pm 0.044 0.112 0.116 [8 per cell]
Pm 0.192 0.250 0.600 [4 per cell]
Al 0.159 0.750 0.588 [4 per cell]
Al 0.187 0.034 0.614 [8 per cell]
Cu 0.098 0.603 0.378 [8 per cell]

Top 8 peaks for 2θ from 10° to 80°, low angle first:
| 2θ/deg | intensity | index |
| --- | --- | --- |
| 26.02 | 57.7 | 1 3 1 |
| 30.40 | 49.5 | 1 4 1 |
| 31.99 | 100.0 | 2 4 0 |
| 34.18 | 80.1 | 1 1 2 |
| 35.85 | 56.4 | 2 4 1 |
| 36.24 | 47.9 | 3 0 1 |
| 36.73 | 40.0 | 3 1 1 |
| 38.19 | 75.5 | 1 3 2 |

Theoretical powder diffractogram of Ac3La2Pr5 for λ = 1.5418 Å (Cu Kα), from a DFT-relaxed cell (PBE, Alexandria).
No peak broadening, texture or thermal motion is included.

Structural model:
Cell lengths 11.334, 14.913, 10.895 Å; angles 90.00, 120.97, 90.00 degrees
Space group C2/c (No. 15)
Asymmetric unit:
Ac 0.000 0.011 0.250 [4 per cell]
Ac 0.150 0.372 0.554 [8 per cell]
La 0.158 0.134 0.059 [8 per cell]
Pr 0.000 0.234 0.250 [4 per cell]
Pr 0.000 0.259 0.750 [4 per cell]
Pr 0.000 0.477 0.750 [4 per cell]
Pr 0.245 0.373 0.249 [8 per cell]

Top 8 peaks for 2θ from 10° to 80°, low angle first:
| 2θ/deg | intensity | index |
| --- | --- | --- |
| 27.41 | 44.9 | 2 2 1 |
| 27.56 | 44.8 | 2 2 -3 |
| 30.25 | 100.0 | 2 4 0 |
| 30.68 | 27.7 | 0 4 2 |
| 31.12 | 22.6 | 0 2 3 |
| 31.58 | 47.5 | 4 0 -2 |
| 57.41 | 25.9 | 2 4 4 |
| 57.63 | 25.7 | 2 4 -6 |

Theoretical powder diffractogram of Tb3Nd3DyZn2 for λ = 1.5418 Å (Cu Kα), from a DFT-relaxed cell (PBE, Alexandria).
No peak broadening, texture or thermal motion is included.

Structural model:
Cell lengths 9.1811, 9.1811, 3.6232 Å; angles 90.00, 90.00, 120.00 degrees
Space group P-62m (No. 189)
Asymmetric unit:
Tb 0.0000 0.3741 0.0000 [3 per cell]
Nd 0.0000 0.6859 0.5000 [3 per cell]
Dy 0.0000 0.0000 0.0000 [1 per cell]
Zn 0.3333 0.6667 0.5000 [2 per cell]

Top 8 peaks for 2θ from 10° to 80°, low angle first:
| 2θ/deg | intensity | index |
| --- | --- | --- |
| 31.45 | 100.0 | 1 1 1 |
| 33.46 | 29.3 | 2 0 1 |
| 33.82 | 88.8 | 3 0 0 |
| 38.94 | 14.0 | 2 1 1 |
| 46.86 | 26.7 | 2 2 1 |
| 56.48 | 20.1 | 3 2 1 |
| 59.03 | 19.3 | 4 1 1 |
| 62.06 | 30.5 | 3 0 2 |

Theoretical powder diffractogram of FeHg2 for λ = 1.5418 Å (Cu Kα), from a DFT-relaxed cell (PBE, Alexandria).
No peak broadening, texture or thermal motion is included.

Structural model:
Cell lengths 4.549, 2.988, 19.495 Å; angles 90.00, 90.00, 90.00 degrees
Space group Amm2 (No. 38)
Asymmetric unit:
Fe 0.000 0.000 0.000 [2 per cell]
Fe 0.000 0.000 0.406 [2 per cell]
Hg 0.000 0.000 0.779 [2 per cell]
Hg 0.500 0.000 0.193 [2 per cell]
Hg 0.500 0.000 0.551 [2 per cell]
Hg 0.500 0.000 0.900 [2 per cell]

Top 8 peaks for 2θ from 10° to 80°, low angle first:
| 2θ/deg | intensity | index |
| --- | --- | --- |
| 21.56 | 25.5 | 1 0 2 |
| 26.81 | 24.2 | 1 0 4 |
| 32.99 | 27.0 | 0 1 3 |
| 33.91 | 50.3 | 1 0 6 |
| 37.93 | 18.9 | 0 1 5 |
| 38.62 | 100.0 | 1 1 3 |
| 39.63 | 35.1 | 2 0 0 |
| 64.47 | 19.6 | 1 1 11 |

Theoretical powder diffractogram of Ti5NbPt6 for λ = 1.5418 Å (Cu Kα), from a DFT-relaxed cell (PBE, Alexandria).
No peak broadening, texture or thermal motion is included.

Structural model:
Cell lengths 3.990, 11.982, 7.883 Å; angles 90.00, 90.00, 90.00 degrees
Space group Cmmm (No. 65)
Asymmetric unit:
Ti 0.000 0.000 0.000 [2 per cell]
Ti 0.000 0.334 0.000 [4 per cell]
Ti 0.000 0.336 0.500 [4 per cell]
Nb 0.000 0.000 0.500 [2 per cell]
Pt 0.000 0.168 0.248 [8 per cell]
Pt 0.000 0.500 0.244 [4 per cell]

Top 8 peaks for 2θ from 10° to 80°, low angle first:
| 2θ/deg | intensity | index |
| --- | --- | --- |
| 22.56 | 30.4 | 0 0 2 |
| 31.70 | 26.8 | 1 3 0 |
| 39.26 | 100.0 | 1 3 2 |
| 45.44 | 33.0 | 2 0 0 |
| 46.06 | 15.7 | 0 0 4 |
| 51.31 | 14.8 | 2 0 2 |
| 66.70 | 20.7 | 2 0 4 |
| 79.74 | 12.6 | 1 9 2 |